# 1
SrWNO2: theoretical powder XRD pattern (Cu Kα, 1.54184 Å), based on a crystal structure in the Materials Project, relaxed with GGA+U.

Principal peaks in the range 10° ≤ 2θ ≤ 90°, by intensity:
Position (°2θ), I (rel.)
31.21, 100
30.72, 50
54.93, 42
44.00, 29
21.59, 22
55.84, 19
65.09, 17
45.42, 13
89.24, 11
22.26, 11

Crystal structure
a = 4.116 Å, b = 4.116 Å, c = 3.994 Å
α = 90.00°, β = 90.00°, γ = 90.00°
Positions (direct):
Sr 0.000 0.000 0.000
W 0.500 0.500 0.500
N 0.500 0.500 0.000
O 0.000 0.500 0.500
O 0.500 0.000 0.500

=====

# 2
VHO3: theoretical powder XRD pattern (Cu Kα, 1.54184 Å), based on a crystal structure in the Materials Project, relaxed with GGA+U.

Principal peaks in the range 10° ≤ 2θ ≤ 90°, by intensity:
Position (°2θ), I (rel.)
11.12, 100
27.37, 49
15.20, 31
30.71, 28
24.68, 24
44.58, 17
26.18, 16
39.15, 9
35.78, 9
17.67, 8

Crystal structure
a = 5.088 Å, b = 8.568 Å, c = 8.068 Å
α = 90.00°, β = 99.52°, γ = 90.00°
Positions (direct):
V 0.041 0.000 0.314
V 0.054 0.608 0.323
V 0.431 0.299 0.573
V 0.569 0.799 0.427
V 0.946 0.108 0.677
V 0.959 0.500 0.686
H 0.284 0.690 0.879
H 0.368 0.286 0.973
H 0.487 0.883 0.871
H 0.513 0.383 0.129
H 0.632 0.786 0.027
H 0.716 0.190 0.121
O 0.078 0.990 0.822
O 0.100 0.304 0.755
O 0.102 0.622 0.842
O 0.171 0.144 0.500
O 0.179 0.465 0.511
O 0.361 0.955 0.282
O 0.381 0.653 0.280
O 0.387 0.800 0.575
O 0.480 0.277 0.085
O 0.520 0.777 0.915
O 0.613 0.300 0.425
O 0.619 0.153 0.720
O 0.639 0.455 0.718
O 0.821 0.965 0.489
O 0.829 0.644 0.500
O 0.898 0.122 0.158
O 0.900 0.804 0.245
O 0.922 0.490 0.178

=====

# 3
Li9Mn2Co5O16: theoretical powder XRD pattern (Cu Kα, 1.54184 Å), based on a crystal structure in the Materials Project, relaxed with GGA+U.

Principal peaks in the range 10° ≤ 2θ ≤ 90°, by intensity:
Position (°2θ), I (rel.)
18.10, 100
42.79, 56
35.57, 26
44.12, 24
62.75, 22
63.53, 13
56.28, 12
36.25, 12
47.51, 9
61.46, 7

Crystal structure
a = 10.457 Å, b = 10.457 Å, c = 10.000 Å
α = 106.60°, β = 106.60°, γ = 16.28°
Positions (direct):
Li 0.000 0.000 0.000
Li 0.128 0.128 0.663
Li 0.191 0.191 0.954
Li 0.256 0.256 0.257
Li 0.377 0.377 0.898
Li 0.501 0.501 0.524
Li 0.632 0.632 0.114
Li 0.752 0.752 0.791
Li 0.879 0.879 0.396
Mn 0.062 0.062 0.325
Mn 0.690 0.690 0.454
Co 0.320 0.320 0.586
Co 0.432 0.432 0.199
Co 0.574 0.574 0.838
Co 0.806 0.806 0.069
Co 0.947 0.947 0.710
O 0.031 0.031 0.675
O 0.093 0.093 0.979
O 0.158 0.158 0.318
O 0.214 0.214 0.586
O 0.287 0.287 0.931
O 0.352 0.352 0.239
O 0.408 0.408 0.557
O 0.470 0.470 0.851
O 0.537 0.537 0.195
O 0.595 0.595 0.461
O 0.653 0.653 0.795
O 0.729 0.729 0.117
O 0.778 0.778 0.438
O 0.844 0.844 0.719
O 0.910 0.910 0.060
O 0.977 0.977 0.352

=====

# 4
CrO2: theoretical powder XRD pattern (Cu Kα, 1.54184 Å), based on a crystal structure in the Materials Project, relaxed with GGA+U.

Principal peaks in the range 10° ≤ 2θ ≤ 90°, by intensity:
Position (°2θ), I (rel.)
19.12, 100
43.48, 18
44.03, 17
44.42, 17
35.21, 13
35.83, 12
36.21, 11
64.96, 7
62.20, 5
62.88, 5

Crystal structure
a = 2.907 Å, b = 2.957 Å, c = 9.434 Å
α = 90.52°, β = 98.77°, γ = 118.79°
Positions (direct):
Cr 0.000 0.000 0.000
Cr 0.008 0.485 0.507
O 0.258 0.634 0.898
O 0.279 0.122 0.404
O 0.734 0.847 0.610
O 0.743 0.365 0.103

=====

# 5
V2Ni3Te3O16: theoretical powder XRD pattern (Cu Kα, 1.54184 Å), based on a crystal structure in the Materials Project, relaxed with GGA+U.

Principal peaks in the range 10° ≤ 2θ ≤ 90°, by intensity:
Position (°2θ), I (rel.)
19.25, 100
35.64, 46
19.35, 29
35.43, 28
19.55, 22
45.17, 19
61.12, 19
60.96, 17
34.12, 16
45.68, 16

Crystal structure
a = 6.080 Å, b = 6.080 Å, c = 9.217 Å
α = 91.07°, β = 91.07°, γ = 59.80°
Positions (direct):
V 0.000 0.000 0.000
V 0.679 0.679 0.456
Ni 0.191 0.692 0.256
Ni 0.533 0.533 0.754
Ni 0.692 0.191 0.256
Te 0.031 0.533 0.746
Te 0.191 0.191 0.250
Te 0.533 0.031 0.746
O 0.013 0.520 0.361
O 0.037 0.037 0.359
O 0.185 0.688 0.858
O 0.202 0.202 0.852
O 0.309 0.893 0.113
O 0.350 0.350 0.154
O 0.359 0.359 0.637
O 0.413 0.855 0.626
O 0.520 0.013 0.361
O 0.536 0.536 0.369
O 0.688 0.185 0.858
O 0.709 0.709 0.865
O 0.847 0.847 0.622
O 0.855 0.413 0.626
O 0.876 0.876 0.113
O 0.893 0.309 0.113

=====

# 6
Fe3O2F6: theoretical powder XRD pattern (Cu Kα, 1.54184 Å), based on a crystal structure in the Materials Project, relaxed with GGA+U.

Principal peaks in the range 10° ≤ 2θ ≤ 90°, by intensity:
Position (°2θ), I (rel.)
26.45, 100
52.88, 32
53.16, 27
54.46, 22
15.79, 21
35.81, 20
20.65, 18
40.77, 15
23.06, 14
40.54, 14

Crystal structure
a = 5.624 Å, b = 4.765 Å, c = 10.015 Å
α = 90.00°, β = 93.64°, γ = 90.00°
Positions (direct):
Fe 0.000 0.000 0.000
Fe 0.000 0.500 0.500
Fe 0.244 0.020 0.739
Fe 0.244 0.480 0.239
Fe 0.756 0.520 0.761
Fe 0.756 0.980 0.261
O 0.020 0.180 0.170
O 0.020 0.320 0.670
O 0.980 0.680 0.330
O 0.980 0.820 0.830
F 0.207 0.697 0.076
F 0.207 0.803 0.576
F 0.263 0.188 0.924
F 0.263 0.312 0.424
F 0.480 0.737 0.808
F 0.480 0.763 0.308
F 0.520 0.237 0.692
F 0.520 0.263 0.192
F 0.737 0.688 0.576
F 0.737 0.812 0.076
F 0.793 0.197 0.424
F 0.793 0.303 0.924

=====

# 7
La2MnNiO6: theoretical powder XRD pattern (Cu Kα, 1.54184 Å), based on a crystal structure in the Materials Project, relaxed with GGA+U.

Principal peaks in the range 10° ≤ 2θ ≤ 90°, by intensity:
Position (°2θ), I (rel.)
32.57, 100
58.12, 38
46.73, 32
68.23, 19
40.18, 18
77.67, 16
22.87, 12
52.64, 6
86.77, 6
82.24, 6

Crystal structure
a = 5.498 Å, b = 5.498 Å, c = 5.498 Å
α = 60.00°, β = 60.00°, γ = 60.00°
Positions (direct):
La 0.250 0.250 0.250
La 0.750 0.750 0.750
Mn 0.000 0.000 0.000
Ni 0.500 0.500 0.500
O 0.244 0.244 0.756
O 0.244 0.756 0.244
O 0.244 0.756 0.756
O 0.756 0.244 0.244
O 0.756 0.244 0.756
O 0.756 0.756 0.244

=====

# 8
Ba6Lu2W3O18: theoretical powder XRD pattern (Cu Kα, 1.54184 Å), based on a crystal structure in the Materials Project, relaxed with GGA+U.

Principal peaks in the range 10° ≤ 2θ ≤ 90°, by intensity:
Position (°2θ), I (rel.)
28.57, 100
30.17, 92
42.03, 50
52.60, 37
53.58, 19
49.58, 18
62.73, 17
70.34, 16
67.82, 14
59.14, 12

Crystal structure
a = 14.842 Å, b = 14.842 Å, c = 14.842 Å
α = 23.03°, β = 23.03°, γ = 23.03°
Positions (direct):
Ba 0.088 0.088 0.088
Ba 0.187 0.187 0.187
Ba 0.363 0.363 0.363
Ba 0.637 0.637 0.637
Ba 0.813 0.813 0.813
Ba 0.912 0.912 0.912
Lu 0.276 0.276 0.276
Lu 0.724 0.724 0.724
W 0.000 0.000 0.000
W 0.447 0.447 0.447
W 0.553 0.553 0.553
O 0.105 0.573 0.573
O 0.131 0.131 0.660
O 0.131 0.660 0.131
O 0.213 0.690 0.690
O 0.310 0.310 0.787
O 0.310 0.787 0.310
O 0.340 0.869 0.869
O 0.427 0.427 0.895
O 0.427 0.895 0.427
O 0.573 0.105 0.573
O 0.573 0.573 0.105
O 0.660 0.131 0.131
O 0.690 0.213 0.690
O 0.690 0.690 0.213
O 0.787 0.310 0.310
O 0.869 0.340 0.869
O 0.869 0.869 0.340
O 0.895 0.427 0.427